# 1
This entry pairs a crystal structure of CsRb2GaBr6 with its theoretical PXRD pattern. Radiation: Cu Ka. Structure: the PBE geometry in the Materials Project.
Lines closer than 0.1° are merged.

Peak list (10 most intense, 2θ from 10° to 80°, most intense first)
d 2.971, 2θ 30.1, rel. 100; d 2.101, 2θ 43.1, rel. 63; d 3.430, 2θ 26.0, rel. 52; d 4.201, 2θ 21.1, rel. 42; d 5.941, 2θ 14.9, rel. 36; d 2.726, 2θ 32.9, rel. 22; d 1.329, 2θ 70.9, rel. 19; d 1.715, 2θ 53.4, rel. 19; d 2.287, 2θ 39.4, rel. 19; d 1.879, 2θ 48.5, rel. 18

Crystal structure
a = 8.402 Å, b = 8.402 Å, c = 8.402 Å
α = 60.00°, β = 60.00°, γ = 60.00°
Atoms (fractional coordinates):
Cs  0.000  0.000  0.000
Rb  0.250  0.250  0.250
Rb  0.750  0.750  0.750
Ga  0.500  0.500  0.500
Br  0.284  0.284  0.716
Br  0.284  0.716  0.284
Br  0.284  0.716  0.716
Br  0.716  0.284  0.284
Br  0.716  0.284  0.716
Br  0.716  0.716  0.284

***

# 2
This entry pairs a crystal structure of KEuZrBiO6 with its theoretical PXRD pattern. Radiation: Cu Ka. Structure: the PBE geometry in the Materials Project.
Lines closer than 0.1° are merged.

Peak list (10 most intense, 2θ from 10° to 80°, most intense first)
d 2.985, 2θ 29.9, rel. 100; d 1.723, 2θ 53.1, rel. 41; d 2.111, 2θ 42.8, rel. 31; d 4.874, 2θ 18.2, rel. 24; d 1.492, 2θ 62.2, rel. 19; d 1.335, 2θ 70.6, rel. 18; d 2.546, 2θ 35.3, rel. 16; d 4.221, 2θ 21.0, rel. 11; d 1.937, 2θ 46.9, rel. 8; d 1.219, 2θ 78.5, rel. 6

Crystal structure
a = 5.970 Å, b = 5.970 Å, c = 5.970 Å
α = 60.00°, β = 60.00°, γ = 60.00°
Atoms (fractional coordinates):
K  0.000  0.000  0.000
Eu  0.500  0.500  0.500
Zr  0.750  0.750  0.750
Bi  0.250  0.250  0.250
O  0.502  0.502  0.998
O  0.502  0.998  0.502
O  0.502  0.998  0.998
O  0.998  0.502  0.502
O  0.998  0.502  0.998
O  0.998  0.998  0.502

***

# 3
This entry pairs a crystal structure of SrPb2Br6O5 with its theoretical PXRD pattern. Radiation: Cu Ka. Structure: the PBE geometry in the Materials Project.
Lines closer than 0.1° are merged.

Peak list (10 most intense, 2θ from 10° to 80°, most intense first)
d 2.900, 2θ 30.8, rel. 100; d 6.361, 2θ 13.9, rel. 49; d 4.252, 2θ 20.9, rel. 47; d 3.341, 2θ 26.7, rel. 41; d 3.026, 2θ 29.5, rel. 35; d 2.928, 2θ 30.5, rel. 27; d 3.272, 2θ 27.3, rel. 27; d 3.543, 2θ 25.1, rel. 27; d 2.132, 2θ 42.4, rel. 26; d 3.090, 2θ 28.9, rel. 26

Crystal structure
a = 9.890 Å, b = 9.890 Å, c = 8.788 Å
α = 110.10°, β = 110.10°, γ = 80.06°
Atoms (fractional coordinates):
Sr  0.127  0.873  0.750
Sr  0.873  0.127  0.250
Pb  0.345  0.354  0.002
Pb  0.354  0.345  0.502
Pb  0.646  0.655  0.498
Pb  0.655  0.646  0.998
Br  0.066  0.310  0.098
Br  0.151  0.458  0.697
Br  0.291  0.598  0.395
Br  0.310  0.066  0.598
Br  0.402  0.709  0.105
Br  0.458  0.151  0.197
Br  0.542  0.849  0.803
Br  0.598  0.291  0.895
Br  0.690  0.934  0.402
Br  0.709  0.402  0.605
Br  0.849  0.542  0.303
Br  0.934  0.690  0.902
O  0.017  0.936  0.454
O  0.064  0.983  0.046
O  0.115  0.256  0.288
O  0.256  0.115  0.788
O  0.325  0.675  0.750
O  0.675  0.325  0.250
O  0.744  0.885  0.212
O  0.885  0.744  0.712
O  0.936  0.017  0.954
O  0.983  0.064  0.546

***

# 4
This entry pairs a crystal structure of Rb3I2Br with its theoretical PXRD pattern. Radiation: Cu Ka. Structure: the PBE geometry in the Materials Project.
Lines closer than 0.1° are merged.

Peak list (10 most intense, 2θ from 10° to 80°, most intense first)
d 3.665, 2θ 24.3, rel. 100; d 2.598, 2θ 34.5, rel. 98; d 3.683, 2θ 24.2, rel. 51; d 1.641, 2θ 56.0, rel. 27; d 2.117, 2θ 42.7, rel. 22; d 2.122, 2θ 42.6, rel. 21; d 2.587, 2θ 34.7, rel. 20; d 1.646, 2θ 55.9, rel. 19; d 1.496, 2θ 62.1, rel. 14; d 1.501, 2θ 61.8, rel. 14

Crystal structure
a = 8.997 Å, b = 8.997 Å, c = 8.997 Å
α = 146.58°, β = 131.67°, γ = 60.04°
Atoms (fractional coordinates):
Rb  0.000  0.000  0.000
Rb  0.346  0.346  0.000
Rb  0.654  0.654  0.000
I  0.169  0.669  0.500
I  0.831  0.331  0.500
Br  0.500  0.000  0.500